Record 1
Structure and simulated powder diffraction line list of Sb9PO25 (a cell relaxed with GGA-PBE; λ = 1.5418 Å (Cu Kα)).
Neutral-atom scattering factors, no anomalous dispersion.

Top 10 peaks for 2θ from 10° to 90°, sorted by position:
d = 4.884 Å, I 42, hkl 1 3 0
d = 3.840 Å, I 59, hkl 1 0 1
d = 3.453 Å, I 100, hkl 2 4 0
d = 3.438 Å, I 27, hkl 1 2 1
d = 2.909 Å, I 47, hkl 2 3 1
d = 2.723 Å, I 31, hkl 1 4 1
d = 2.440 Å, I 32, hkl 6 2 0
d = 2.324 Å, I 25, hkl 5 2 1
d = 2.028 Å, I 24, hkl 3 7 0
d = 1.543 Å, I 24, hkl 7 6 1

Structure:
Unit cell a=15.4433 b=15.4433 c=3.9643 alpha=90.00 beta=90.00 gamma=90.00
Space group I-4 (No. 82)
Unique sites:
1 Sb 0.0000 0.0000 0.0000 [2 per cell]
2 Sb 0.1025 0.2214 0.0263 [8 per cell]
3 Sb 0.1212 0.6742 0.9714 [8 per cell]
4 P 0.0000 0.5000 0.7500 [2 per cell]
5 O 0.0000 0.0000 0.5000 [2 per cell]
6 O 0.0184 0.7404 0.0423 [8 per cell]
7 O 0.0560 0.4396 0.5254 [8 per cell]
8 O 0.0793 0.1012 0.9926 [8 per cell]
9 O 0.1073 0.2608 0.5295 [8 per cell]
10 O 0.1462 0.6480 0.4688 [8 per cell]
11 O 0.1930 0.7755 0.9294 [8 per cell]


Record 2
Structure and simulated powder diffraction line list of Sb2P5O16 (a cell relaxed with GGA-PBE; λ = 1.5418 Å (Cu Kα)).
Neutral-atom scattering factors, no anomalous dispersion.

Top 10 peaks for 2θ from 10° to 90°, sorted by position:
d = 7.223 Å, I 21, hkl 0 1 1
d = 7.138 Å, I 16, hkl 1 0 0
d = 5.878 Å, I 100, hkl 1 1 -1
d = 5.002 Å, I 37, hkl 0 0 2
d = 3.371 Å, I 14, hkl 2 1 0
d = 3.177 Å, I 19, hkl 0 1 3
d = 3.126 Å, I 17, hkl 1 3 0
d = 3.076 Å, I 25, hkl 2 2 -1
d = 2.856 Å, I 13, hkl 1 3 -2
d = 2.449 Å, I 13, hkl 3 1 -1

Structure:
Unit cell a=7.6174 b=10.4356 c=10.6784 alpha=90.00 beta=110.43 gamma=90.00
Space group Pc (No. 7)
Unique sites:
1 Sb 0.0000 0.1309 0.0000 [2 per cell]
2 Sb 0.5487 0.3588 0.6090 [2 per cell]
3 P 0.3239 0.3475 0.0112 [2 per cell]
4 P 0.3685 0.2011 0.2554 [2 per cell]
5 P 0.4117 0.0380 0.6353 [2 per cell]
6 P 0.6706 0.3821 0.9524 [2 per cell]
7 P 0.7994 0.0835 0.6621 [2 per cell]
8 O 0.1414 0.2793 0.9318 [2 per cell]
9 O 0.1536 0.1964 0.1986 [2 per cell]
10 O 0.2480 0.0149 0.0186 [2 per cell]
11 O 0.3061 0.4832 0.0506 [2 per cell]
12 O 0.4074 0.1729 0.6805 [2 per cell]
13 O 0.4384 0.2643 0.1430 [2 per cell]
14 O 0.4473 0.0570 0.2622 [2 per cell]
15 O 0.4561 0.2634 0.3869 [2 per cell]
16 O 0.4556 0.3331 0.9252 [2 per cell]
17 O 0.5952 0.0151 0.5954 [2 per cell]
18 O 0.6719 0.4203 0.8146 [2 per cell]
19 O 0.7098 0.4937 0.0515 [2 per cell]
20 O 0.7817 0.2286 0.6467 [2 per cell]
21 O 0.7923 0.2643 0.0137 [2 per cell]
22 O 0.8731 0.0396 0.8094 [2 per cell]
23 O 0.9148 0.0303 0.5820 [2 per cell]


Record 3
Structure and simulated powder diffraction line list of SbP5O15 (a cell relaxed with GGA-PBE; λ = 1.5418 Å (Cu Kα)).
Neutral-atom scattering factors, no anomalous dispersion.

Top 10 peaks for 2θ from 10° to 90°, sorted by position:
d = 8.248 Å, I 100, hkl 0 0 1
d = 6.897 Å, I 43, hkl 0 2 0
d = 5.291 Å, I 70, hkl 0 2 1
d = 4.859 Å, I 33, hkl 1 0 -1
d = 4.153 Å, I 43, hkl 1 2 0
d = 4.124 Å, I 39, hkl 0 0 2
d = 3.962 Å, I 31, hkl 1 2 -1
d = 3.499 Å, I 56, hkl 1 2 1
d = 3.183 Å, I 38, hkl 1 2 -2
d = 2.809 Å, I 38, hkl 1 4 -1

Structure:
Unit cell a=5.3023 b=13.7948 c=8.4071 alpha=90.00 beta=101.16 gamma=90.00
Space group P2_1/m (No. 11)
Unique sites:
1 Sb 0.0000 0.0000 0.0000 [2 per cell]
2 P 0.1750 0.2500 0.4628 [2 per cell]
3 P 0.1808 0.0802 0.6794 [4 per cell]
4 P 0.4922 0.1417 0.0018 [4 per cell]
5 O 0.0244 0.2500 0.2963 [2 per cell]
6 O 0.0343 0.5580 0.2147 [4 per cell]
7 O 0.0496 0.1606 0.5659 [4 per cell]
8 O 0.2275 0.6102 0.9505 [4 per cell]
9 O 0.3058 0.5033 0.6221 [4 per cell]
10 O 0.3146 0.0813 0.0873 [4 per cell]
11 O 0.3975 0.1438 0.8164 [4 per cell]
12 O 0.4565 0.2500 0.5175 [2 per cell]
13 O 0.4800 0.2500 0.0640 [2 per cell]